Record 1
This entry pairs a crystal structure of Hf6Zr2Os with its calculated powder diffractogram. Radiation: Cu Kα. Structure: a DFT-relaxed cell (GGA-PBE, Alexandria).

Cell and atoms:
```
9
Lattice="7.5677 -4.1983 0.0000 7.5677 4.1983 0.0000 -0.0057 0.0000 3.0923" Properties=species:S:1:pos:R:3 pbc="T T T"
Hf 5.1411 1.4580 1.5448
Hf 7.5677 2.5053 0.0000
Hf 9.9885 1.4580 1.5475
Hf 5.1411 -1.4580 1.5448
Hf 7.5677 -2.5053 0.0000
Hf 9.9885 -1.4580 1.5475
Zr 2.6200 0.0000 3.0895
Zr 12.5097 0.0000 0.0028
Os 7.5648 0.0000 1.5461
```

Top 10 peaks for 5 to 70 degrees two-theta, low angle first:
2θ = 12.05°, 7.342 Å, I = 214
2θ = 31.39°, 2.850 Å, I = 517
2θ = 35.59°, 2.522 Å, I = 621
2θ = 36.72°, 2.447 Å, I = 1000
2θ = 37.56°, 2.394 Å, I = 157
2θ = 38.05°, 2.365 Å, I = 574
2θ = 43.51°, 2.080 Å, I = 440
2θ = 59.82°, 1.546 Å, I = 138
2θ = 63.32°, 1.469 Å, I = 179
2θ = 64.66°, 1.442 Å, I = 178

Record 2
This entry pairs a crystal structure of HfZr3Os4 with its calculated powder diffractogram. Radiation: Cu Kα. Structure: a DFT-relaxed cell (GGA-PBE, Alexandria).

Cell and atoms:
```
8
Lattice="3.2759 0.0000 0.0000 0.0000 3.2759 0.0000 0.0000 0.0000 13.1111" Properties=species:S:1:pos:R:3 pbc="T T T"
Hf 0.0000 0.0000 0.0000
Zr 0.0000 0.0000 3.2695
Zr 0.0000 0.0000 6.5556
Zr 0.0000 0.0000 9.8417
Os 1.6379 1.6379 1.6084
Os 1.6379 1.6379 4.9078
Os 1.6379 1.6379 8.2033
Os 1.6379 1.6379 11.5027
```

Top 10 peaks for 5 to 70 degrees two-theta, low angle first:
2θ = 6.74°, 13.111 Å, I = 46
2θ = 13.51°, 6.556 Å, I = 11
2θ = 20.32°, 4.370 Å, I = 5
2θ = 27.22°, 3.277 Å, I = 72
2θ = 28.08°, 3.178 Å, I = 7
2θ = 38.87°, 2.317 Å, I = 1000
2θ = 44.25°, 2.047 Å, I = 7
2θ = 48.10°, 1.892 Å, I = 22
2θ = 56.14°, 1.638 Å, I = 172
2θ = 63.49°, 1.465 Å, I = 30

Record 3
This entry pairs a crystal structure of Hf3Zr2Os2 with its calculated powder diffractogram. Radiation: Cu Kα. Structure: a DFT-relaxed cell (GGA-PBE, Alexandria).

Cell and atoms:
```
7
Lattice="5.6336 -1.6492 0.0000 5.6336 1.6492 0.0000 -3.8427 0.0000 7.7663" Properties=species:S:1:pos:R:3 pbc="T T T"
Hf 0.0000 0.0000 0.0000
Hf -0.4060 0.0000 3.4067
Hf 7.8305 0.0000 4.3595
Zr 3.2242 0.0000 1.3437
Zr 4.2002 0.0000 6.4225
Os 0.6885 0.0000 5.8738
Os 6.7360 0.0000 1.8925
```

Top 10 peaks for 5 to 70 degrees two-theta, low angle first:
2θ = 16.15°, 5.490 Å, I = 872
2θ = 34.19°, 2.622 Å, I = 656
2θ = 34.84°, 2.575 Å, I = 834
2θ = 36.25°, 2.478 Å, I = 1000
2θ = 37.11°, 2.423 Å, I = 773
2θ = 38.03°, 2.366 Å, I = 620
2θ = 38.20°, 2.356 Å, I = 494
2θ = 39.34°, 2.290 Å, I = 680
2θ = 42.09°, 2.147 Å, I = 705
2θ = 55.74°, 1.649 Å, I = 354

Record 4
This entry pairs a crystal structure of Hf2ZrOs2 with its calculated powder diffractogram. Radiation: Cu Kα. Structure: a DFT-relaxed cell (GGA-PBE, Alexandria).

Cell and atoms:
```
5
Lattice="1.5944 -9.7174 0.0000 1.5944 9.7174 0.0000 0.0000 0.0000 3.1837" Properties=species:S:1:pos:R:3 pbc="T T T"
Hf 1.5944 6.3814 0.0000
Hf 1.5944 -6.3814 0.0000
Zr 0.0000 0.0000 0.0000
Os 1.5944 1.7478 1.5918
Os 1.5944 -1.7478 1.5918
```

Top 10 peaks for 5 to 70 degrees two-theta, low angle first:
2θ = 18.26°, 4.859 Å, I = 421
2θ = 29.53°, 3.025 Å, I = 231
2θ = 36.44°, 2.465 Å, I = 883
2θ = 39.70°, 2.271 Å, I = 1000
2θ = 40.30°, 2.238 Å, I = 988
2θ = 42.48°, 2.128 Å, I = 240
2θ = 43.20°, 2.094 Å, I = 254
2θ = 57.83°, 1.594 Å, I = 175
2θ = 57.93°, 1.592 Å, I = 174
2θ = 67.35°, 1.390 Å, I = 388

Record 5
This entry pairs a crystal structure of Hf4ZrOs5 with its calculated powder diffractogram. Radiation: Cu Kα. Structure: a DFT-relaxed cell (GGA-PBE, Alexandria).

Cell and atoms:
```
10
Lattice="3.2580 0.0000 0.0000 0.0000 3.2580 0.0000 0.0000 0.0000 16.3090" Properties=species:S:1:pos:R:3 pbc="T T T"
Hf 0.0000 0.0000 1.6277
Hf 0.0000 0.0000 4.8814
Hf 0.0000 0.0000 11.4277
Hf 0.0000 0.0000 14.6813
Zr 0.0000 0.0000 8.1545
Os 1.6290 1.6290 0.0000
Os 1.6290 1.6290 3.2471
Os 1.6290 1.6290 6.4901
Os 1.6290 1.6290 9.8189
Os 1.6290 1.6290 13.0619
```

Top 5 peaks for 5 to 70 degrees two-theta, low angle first:
2θ = 5.42°, 16.309 Å, I = 36
2θ = 10.85°, 8.155 Å, I = 9
2θ = 27.36°, 3.259 Å, I = 8
2θ = 39.09°, 2.305 Å, I = 1000
2θ = 56.47°, 1.630 Å, I = 173

Record 6
This entry pairs a crystal structure of Hf4P with its calculated powder diffractogram. Radiation: Cu Kα. Structure: a DFT-relaxed cell (GGA-PBE, Alexandria).

Cell and atoms:
```
10
Lattice="-4.0899 4.0899 3.0768 4.0899 -4.0899 3.0768 4.0899 4.0899 -3.0768" Properties=species:S:1:pos:R:3 pbc="T T T"
Hf 3.5956 -2.4899 2.2257
Hf 6.5798 -0.4944 0.8511
Hf 4.5843 1.6000 -0.6873
Hf 1.6000 0.4944 0.8511
Hf 1.6000 3.5956 0.6873
Hf 4.5843 2.4899 2.2257
Hf 2.4899 0.4944 3.7642
Hf -0.4944 2.4899 2.3895
P 4.0899 0.0000 1.5384
P 0.0000 0.0000 3.0768
```

Top 10 peaks for 5 to 70 degrees two-theta, low angle first:
2θ = 28.38°, 3.144 Å, I = 247
2θ = 30.92°, 2.892 Å, I = 381
2θ = 32.97°, 2.716 Å, I = 285
2θ = 34.68°, 2.587 Å, I = 578
2θ = 36.03°, 2.493 Å, I = 427
2θ = 36.55°, 2.459 Å, I = 1000
2θ = 42.47°, 2.129 Å, I = 433
2θ = 45.83°, 1.980 Å, I = 226
2θ = 58.37°, 1.581 Å, I = 318
2θ = 60.89°, 1.522 Å, I = 169

Record 7
This entry pairs a crystal structure of Hf7P4 with its calculated powder diffractogram. Radiation: Cu Kα. Structure: a DFT-relaxed cell (GGA-PBE, Alexandria).

Cell and atoms:
```
22
Lattice="7.8784 -1.7666 0.0000 7.8784 1.7666 0.0000 -3.6860 0.0000 14.2091" Properties=species:S:1:pos:R:3 pbc="T T T"
Hf 0.0000 0.0000 0.0000
Hf -2.4013 0.0000 9.4980
Hf 0.7837 0.0000 7.6804
Hf 1.9470 0.0000 4.4249
Hf 0.2923 0.0000 11.3248
Hf 5.2359 0.0000 0.4109
Hf 3.7232 0.0000 11.8124
Hf 6.0354 0.0000 7.1045
Hf 8.3477 0.0000 2.3967
Hf 6.8350 0.0000 13.7981
Hf 11.7786 0.0000 2.8842
Hf 10.1239 0.0000 9.7842
Hf 11.2872 0.0000 6.5286
Hf 14.4721 0.0000 4.7111
P -2.1518 0.0000 12.1168
P 2.3675 0.0000 1.5881
P 4.5770 0.0000 4.8185
P 3.7034 0.0000 8.5313
P 8.3675 0.0000 5.6778
P 7.4939 0.0000 9.3906
P 9.7034 0.0000 12.6209
P 14.2227 0.0000 2.0923
```

Top 10 peaks for 5 to 70 degrees two-theta, low angle first:
2θ = 32.37°, 2.766 Å, I = 417
2θ = 33.84°, 2.649 Å, I = 554
2θ = 35.28°, 2.544 Å, I = 744
2θ = 37.40°, 2.405 Å, I = 502
2θ = 38.00°, 2.368 Å, I = 565
2θ = 38.66°, 2.329 Å, I = 1000
2θ = 39.01°, 2.309 Å, I = 505
2θ = 51.75°, 1.767 Å, I = 372
2θ = 59.32°, 1.558 Å, I = 309
2θ = 65.98°, 1.416 Å, I = 226

Record 8
This entry pairs a crystal structure of HfPa3P4 with its calculated powder diffractogram. Radiation: Cu Kα. Structure: a DFT-relaxed cell (GGA-PBE, Alexandria).

Cell and atoms:
```
16
Lattice="6.7386 0.0000 0.0000 0.0000 7.8635 0.0000 -2.2933 0.0000 6.3426" Properties=species:S:1:pos:R:3 pbc="T T T"
Hf -0.5733 0.9843 1.5856
Hf -1.7200 6.8792 4.7569
Pa -1.7200 2.9378 4.7569
Pa -0.5733 4.9257 1.5856
Pa 1.6493 0.9857 4.7569
Pa 2.7960 2.9423 1.5856
Pa 1.6493 4.9211 4.7569
Pa 2.7960 6.8778 1.5856
P 1.5967 0.9216 0.0033
P 0.4500 6.9419 3.1746
P 0.5055 2.8907 3.1232
P -0.6412 4.9728 6.2945
P 5.0864 2.8907 0.0481
P 3.9398 4.9728 3.2194
P 3.9953 0.9216 3.1680
P 2.8486 6.9419 6.3393
```

Top 10 peaks for 5 to 70 degrees two-theta, low angle first:
2θ = 27.86°, 3.202 Å, I = 543
2θ = 28.15°, 3.170 Å, I = 529
2θ = 32.45°, 2.759 Å, I = 1000
2θ = 46.18°, 1.966 Å, I = 126
2θ = 46.55°, 1.951 Å, I = 492
2θ = 54.96°, 1.671 Å, I = 178
2θ = 55.46°, 1.657 Å, I = 174
2θ = 57.57°, 1.601 Å, I = 131
2θ = 58.21°, 1.585 Å, I = 127
2θ = 67.95°, 1.380 Å, I = 121